Entry 1:
HoZrSi2: theoretical XRD peak list (Cu Kα (λ = 1.5418 Å)), based on a structure optimized by DFT (PBE).

Main lines, by angle (5° ≤ 2θ ≤ 70°):
2θ (°)	I_rel
11.78	25
28.70	45
28.84	35
31.12	100
33.63	76
34.94	81
37.55	51
39.59	44
42.55	42
48.11	26
55.38	31
60.83	32

Crystal structure
abc: 3.7824 7.5115 5.4649
angles: 90.00 90.00 90.00
Fractional coordinates of all 8 atoms:
Ho: 0.0000 0.0734 0.0000
Ho: 0.5000 0.9266 0.5000
Zr: 0.0000 0.5655 0.2589
Zr: 0.5000 0.4345 0.7588
Si: 0.0000 0.2230 0.5132
Si: 0.0000 0.6994 0.7424
Si: 0.5000 0.3006 0.2424
Si: 0.5000 0.7770 0.0132

Entry 2:
Al2HgTe2S2: theoretical XRD peak list (Cu Kα (λ = 1.5418 Å)), based on a structure optimized by DFT (PBE).

Main lines, by angle (5° ≤ 2θ ≤ 70°):
2θ (°)	I_rel
16.27	36
16.90	100
17.01	42
25.90	86
26.06	74
26.68	55
27.18	62
28.78	37
34.68	47
34.80	45
42.61	39
42.84	42

Crystal structure
abc: 5.8858 6.0674 6.8315
angles: 113.38 114.36 90.54
Fractional coordinates of all 7 atoms:
Al: 0.0000 0.0000 0.0000
Al: 0.2098 0.7853 0.4927
Hg: 0.4830 0.5187 0.9780
Te: 0.3759 0.3952 0.2898
Te: 0.6309 0.1220 0.6994
S: 0.1039 0.6936 0.7427
S: 0.8932 0.9006 0.2440

Entry 3:
KRbAg4P2: theoretical XRD peak list (Cu Kα (λ = 1.5418 Å)), based on a structure optimized by DFT (PBE).

Main lines, by angle (5° ≤ 2θ ≤ 70°):
2θ (°)	I_rel
16.30	93
23.32	89
23.51	20
24.60	42
32.94	100
33.35	36
34.94	65
38.89	22
47.68	34
48.08	17
50.42	66
55.19	17

Crystal structure
abc: 8.6183 8.6183 8.6183
angles: 140.48 140.48 57.12
Fractional coordinates of all 8 atoms:
K: 0.0000 0.0000 0.0000
Rb: 0.2500 0.7500 0.5000
Ag: 0.1241 0.3926 0.7655
Ag: 0.6074 0.3729 0.7315
Ag: 0.6271 0.3587 0.2345
Ag: 0.6413 0.8759 0.2685
P: 0.5000 0.5000 0.0000
P: 0.7500 0.2500 0.5000

Entry 4:
La2TbO3: theoretical XRD peak list (Cu Kα (λ = 1.5418 Å)), based on a structure optimized by DFT (PBE).

Main lines, by angle (5° ≤ 2θ ≤ 70°):
2θ (°)	I_rel
10.02	3
30.37	33
30.95	92
35.72	100
42.64	1
51.03	34
51.78	34
60.54	15
61.22	28
61.56	14
63.18	6
64.50	17

Crystal structure
abc: 3.5309 3.5309 8.8301
angles: 90.00 90.00 120.00
Fractional coordinates of all 6 atoms:
La: 0.3333 0.6667 0.1697
La: 0.6667 0.3333 0.8303
Tb: 0.0000 0.0000 0.5000
O: 0.0000 0.0000 0.0000
O: 0.3333 0.6667 0.6374
O: 0.6667 0.3333 0.3626

Entry 5:
Sc9Ni5Ge8: theoretical XRD peak list (Cu Kα (λ = 1.5418 Å)), based on a structure optimized by DFT (PBE).

Main lines, by angle (5° ≤ 2θ ≤ 70°):
2θ (°)	I_rel
8.41	51
35.69	35
36.61	25
37.02	100
37.66	27
38.50	92
39.64	32
43.03	29
46.06	53
48.09	38
51.59	31
62.34	20

Crystal structure
abc: 11.6151 11.6151 11.6151
angles: 160.46 134.04 50.38
Fractional coordinates of all 22 atoms:
Sc: 0.0000 0.0000 0.0000
Sc: 0.1124 0.4150 0.6974
Sc: 0.2260 0.7260 0.5000
Sc: 0.2825 0.5850 0.6974
Sc: 0.3894 0.8894 0.5000
Sc: 0.6106 0.1106 0.5000
Sc: 0.7175 0.4150 0.3026
Sc: 0.7740 0.2740 0.5000
Sc: 0.8876 0.5850 0.3026
Ni: 0.0283 0.8034 0.2248
Ni: 0.4214 0.1966 0.2248
Ni: 0.5000 0.5000 0.0000
Ni: 0.5786 0.8034 0.7752
Ni: 0.9717 0.1966 0.7752
Ge: 0.1326 0.1326 0.0000
Ge: 0.1677 0.3071 0.8605
Ge: 0.3187 0.0000 0.3187
Ge: 0.4466 0.3071 0.1395
Ge: 0.5534 0.6929 0.8605
Ge: 0.6813 0.0000 0.6813
Ge: 0.8323 0.6929 0.1395
Ge: 0.8674 0.8674 0.0000

Repeat the second record exactly.
Al2HgTe2S2: theoretical XRD peak list (Cu Kα (λ = 1.5418 Å)), based on a structure optimized by DFT (PBE).

Main lines, by angle (5° ≤ 2θ ≤ 70°):
2θ (°)	I_rel
16.27	36
16.90	100
17.01	42
25.90	86
26.06	74
26.68	55
27.18	62
28.78	37
34.68	47
34.80	45
42.61	39
42.84	42

Crystal structure
abc: 5.8858 6.0674 6.8315
angles: 113.38 114.36 90.54
Fractional coordinates of all 7 atoms:
Al: 0.0000 0.0000 0.0000
Al: 0.2098 0.7853 0.4927
Hg: 0.4830 0.5187 0.9780
Te: 0.3759 0.3952 0.2898
Te: 0.6309 0.1220 0.6994
S: 0.1039 0.6936 0.7427
S: 0.8932 0.9006 0.2440